Calculated X-ray powder pattern of Li5Mg12Zn2 for CuKα, from DFT lattice parameters and positions (PBE).

Cell and atoms:
```
data_Li5Mg12Zn2
_space_group_name_H-M_alt 'C 1 2/m 1'
_space_group_IT_number 12
_space_group_name_Hall '-C 2y'
_cell_length_a 13.4144
_cell_length_b 8.2188
_cell_length_c 7.3522
_cell_angle_alpha 90.00
_cell_angle_beta 91.43
_cell_angle_gamma 90.00
loop_
_atom_site_label
_atom_site_type_symbol
_atom_site_fract_x
_atom_site_fract_y
_atom_site_fract_z
Li1 Li 0.0000 0.0000 0.0000
Li2 Li 0.1860 0.5000 0.4937
Li3 Li 0.2337 0.0000 0.0693
Mg1 Mg 0.0568 0.5000 0.8148
Mg2 Mg 0.0867 0.0000 0.3764
Mg3 Mg 0.1238 0.2980 0.1510
Mg4 Mg 0.1496 0.1839 0.7328
Zn1 Zn 0.0000 0.3206 0.5000
```

Main lines, low angle first (15 to 90 degrees two-theta):
d (Å)	I_rel	h k l
5.017	62	2 0 -1
4.893	40	2 0 1
2.552	100	2 2 -2
2.517	88	1 3 1
2.448	77	4 0 2
2.435	47	4 2 1
2.427	55	5 1 -1
2.322	37	1 1 -3
2.283	40	2 0 3
2.218	79	3 3 1